No. 1
This entry pairs a crystal structure of RbTbSiSe4 with its calculated powder diffractogram. Radiation: λ = 1.5418 Å (Cu Kα). Structure: a cell relaxed with PBE.
No peak broadening, texture or thermal motion is included.

Main lines, by intensity (5 to 70 degrees two-theta):
2θ/deg  I/Imax
9.8  1000
30.5  593
32.8  479
29.1  466
28.9  465
32.4  450
31.6  371
27.6  346
38.2  326
18.8  322
25.4  321
48.1  307

Structure:
a = 6.698 Å, b = 7.005 Å, c = 9.462 Å
α = 90.00°, β = 108.12°, γ = 90.00°
Fractional positions:
Rb (0.243, 0.250, 0.439)
Rb (0.757, 0.750, 0.561)
Tb (0.272, 0.250, 0.951)
Tb (0.728, 0.750, 0.049)
Si (0.280, 0.750, 0.167)
Si (0.720, 0.250, 0.833)
Se (0.073, 0.750, 0.926)
Se (0.083, 0.750, 0.324)
Se (0.491, 0.504, 0.794)
Se (0.491, 0.996, 0.794)
Se (0.509, 0.004, 0.206)
Se (0.509, 0.496, 0.206)
Se (0.917, 0.250, 0.676)
Se (0.927, 0.250, 0.074)



No. 2
This entry pairs a crystal structure of RbSm2Se with its calculated powder diffractogram. Radiation: λ = 1.5418 Å (Cu Kα). Structure: a cell relaxed with PBE.
No peak broadening, texture or thermal motion is included.

Main lines, by intensity (5 to 70 degrees two-theta):
2θ/deg  I/Imax
7.8  1000
33.3  734
25.7  389
45.0  352
28.8  352
37.0  283
26.1  282
23.6  258
51.5  188
57.1  176
50.4  157
68.2  156

Structure:
a = 11.536 Å, b = 11.536 Å, c = 11.536 Å
α = 20.09°, β = 20.09°, γ = 20.09°
Fractional positions:
Rb (0.000, 0.000, 0.000)
Sm (0.117, 0.117, 0.117)
Sm (0.883, 0.883, 0.883)
Se (0.500, 0.500, 0.500)



No. 3
This entry pairs a crystal structure of Rb2SmTlSe4 with its calculated powder diffractogram. Radiation: λ = 1.5418 Å (Cu Kα). Structure: a cell relaxed with PBE.
No peak broadening, texture or thermal motion is included.

Main lines, by intensity (5 to 70 degrees two-theta):
2θ/deg  I/Imax
39.9  1000
27.6  726
28.2  667
28.3  656
12.1  532
49.5  253
49.8  245
40.2  241
40.6  229
64.8  211
65.8  149
24.3  142

Structure:
a = 9.030 Å, b = 9.030 Å, c = 8.887 Å
α = 119.34°, β = 119.34°, γ = 91.50°
Fractional positions:
Rb (0.000, 0.000, 0.000)
Rb (0.000, 0.000, 0.500)
Rb (0.000, 0.500, 0.000)
Rb (0.500, 0.000, 0.500)
Sm (0.500, 0.500, 0.000)
Sm (0.500, 0.500, 0.500)
Tl (0.000, 0.500, 0.500)
Tl (0.500, 0.000, 0.000)
Se (0.264, 0.732, 0.534)
Se (0.268, 0.736, 0.966)
Se (0.273, 0.293, 0.534)
Se (0.293, 0.273, 0.034)
Se (0.707, 0.727, 0.966)
Se (0.727, 0.707, 0.466)
Se (0.732, 0.264, 0.034)
Se (0.736, 0.268, 0.466)



No. 4
This entry pairs a crystal structure of Rb4SmU3Se8 with its calculated powder diffractogram. Radiation: λ = 1.5418 Å (Cu Kα). Structure: a cell relaxed with PBE.
No peak broadening, texture or thermal motion is included.

Main lines, by intensity (5 to 70 degrees two-theta):
2θ/deg  I/Imax
28.3  1000
11.0  428
38.5  362
42.3  358
51.7  187
69.0  160
48.2  157
35.6  150
25.2  128
63.5  123
58.5  107
43.9  95

Structure:
a = 9.445 Å, b = 9.445 Å, c = 9.445 Å
α = 53.77°, β = 53.77°, γ = 53.77°
Fractional positions:
Rb (0.000, 0.000, 0.000)
Rb (0.000, 0.500, 0.500)
Rb (0.500, 0.000, 0.500)
Rb (0.500, 0.500, 0.000)
Sm (0.500, 0.500, 0.500)
U (0.000, 0.000, 0.500)
U (0.000, 0.500, 0.000)
U (0.500, 0.000, 0.000)
Se (0.230, 0.735, 0.735)
Se (0.232, 0.232, 0.232)
Se (0.265, 0.265, 0.770)
Se (0.265, 0.770, 0.265)
Se (0.735, 0.230, 0.735)
Se (0.735, 0.735, 0.230)
Se (0.768, 0.768, 0.768)
Se (0.770, 0.265, 0.265)



No. 5
This entry pairs a crystal structure of Rb2SmZn2Se4 with its calculated powder diffractogram. Radiation: λ = 1.5418 Å (Cu Kα). Structure: a cell relaxed with PBE.
No peak broadening, texture or thermal motion is included.

Main lines, by intensity (5 to 70 degrees two-theta):
2θ/deg  I/Imax
30.1  1000
11.5  861
31.6  484
29.8  476
49.8  457
31.9  440
41.6  434
27.0  358
34.8  284
26.9  243
39.9  240
39.5  239

Structure:
a = 8.302 Å, b = 8.302 Å, c = 8.183 Å
α = 109.27°, β = 109.27°, γ = 30.30°
Fractional positions:
Rb (0.131, 0.131, 0.057)
Rb (0.869, 0.869, 0.943)
Sm (0.000, 0.000, 0.500)
Zn (0.323, 0.323, 0.510)
Zn (0.677, 0.677, 0.490)
Se (0.200, 0.200, 0.668)
Se (0.476, 0.476, 0.729)
Se (0.524, 0.524, 0.271)
Se (0.800, 0.800, 0.332)



No. 6
This entry pairs a crystal structure of RbSn2Se3 with its calculated powder diffractogram. Radiation: λ = 1.5418 Å (Cu Kα). Structure: a cell relaxed with PBE.
No peak broadening, texture or thermal motion is included.

Main lines, by intensity (5 to 70 degrees two-theta):
2θ/deg  I/Imax
34.8  1000
31.3  910
29.1  807
32.3  583
45.6  567
44.2  530
24.8  517
13.1  385
7.4  383
26.9  369
21.7  361
33.7  291

Structure:
a = 3.979 Å, b = 11.964 Å, c = 8.186 Å
α = 90.00°, β = 90.00°, γ = 90.00°
Fractional positions:
Rb (0.000, 0.137, 0.000)
Rb (0.000, 0.863, 0.500)
Sn (0.000, 0.224, 0.505)
Sn (0.000, 0.776, 0.005)
Sn (0.500, 0.485, 0.057)
Sn (0.500, 0.515, 0.557)
Se (0.000, 0.396, 0.728)
Se (0.000, 0.604, 0.228)
Se (0.500, 0.093, 0.643)
Se (0.500, 0.304, 0.269)
Se (0.500, 0.696, 0.769)
Se (0.500, 0.907, 0.143)



No. 7
This entry pairs a crystal structure of Rb3SnSe4 with its calculated powder diffractogram. Radiation: λ = 1.5418 Å (Cu Kα). Structure: a cell relaxed with PBE.
No peak broadening, texture or thermal motion is included.

Main lines, by intensity (5 to 70 degrees two-theta):
2θ/deg  I/Imax
22.5  1000
31.8  770
33.7  535
39.7  418
28.2  406
24.0  403
56.4  365
26.7  332
15.7  305
12.8  304
25.7  284
28.8  273

Structure:
a = 8.503 Å, b = 8.503 Å, c = 6.196 Å
α = 111.32°, β = 111.32°, γ = 53.34°
Fractional positions:
Rb (0.000, 0.000, 0.000)
Rb (0.086, 0.493, 0.289)
Rb (0.507, 0.914, 0.711)
Sn (0.672, 0.328, 0.500)
Se (0.005, 0.303, 0.653)
Se (0.422, 0.578, 0.224)
Se (0.422, 0.578, 0.776)
Se (0.697, 0.995, 0.347)



No. 8
This entry pairs a crystal structure of Rb5SnSe5 with its calculated powder diffractogram. Radiation: λ = 1.5418 Å (Cu Kα). Structure: a cell relaxed with PBE.
No peak broadening, texture or thermal motion is included.

Main lines, by intensity (5 to 70 degrees two-theta):
2θ/deg  I/Imax
27.0  1000
27.1  827
26.0  635
38.6  635
10.1  549
37.8  466
14.7  364
33.5  314
46.3  274
36.9  263
47.9  202
38.9  179

Structure:
a = 8.444 Å, b = 8.444 Å, c = 9.276 Å
α = 108.05°, β = 108.05°, γ = 46.09°
Fractional positions:
Rb (0.000, 0.000, 0.000)
Rb (0.305, 0.305, 0.199)
Rb (0.332, 0.332, 0.658)
Rb (0.668, 0.668, 0.342)
Rb (0.695, 0.695, 0.801)
Sn (0.000, 0.000, 0.500)
Se (0.128, 0.128, 0.366)
Se (0.136, 0.136, 0.780)
Se (0.500, 0.500, 0.500)
Se (0.864, 0.864, 0.220)
Se (0.872, 0.872, 0.634)



No. 9
This entry pairs a crystal structure of Rb2TaSnSe4 with its calculated powder diffractogram. Radiation: λ = 1.5418 Å (Cu Kα). Structure: a cell relaxed with PBE.
No peak broadening, texture or thermal motion is included.

Main lines, by intensity (5 to 70 degrees two-theta):
2θ/deg  I/Imax
14.7  1000
25.2  457
25.6  453
32.7  376
27.1  326
36.1  266
29.2  232
46.1  194
52.5  178
42.0  168
44.7  164
45.1  159

Structure:
a = 13.941 Å, b = 12.642 Å, c = 7.900 Å
α = 81.98°, β = 63.89°, γ = 34.13°
Fractional positions:
Rb (0.052, 0.052, 0.698)
Rb (0.302, 0.302, 0.948)
Rb (0.698, 0.698, 0.052)
Rb (0.948, 0.948, 0.302)
Ta (0.375, 0.375, 0.375)
Ta (0.625, 0.625, 0.625)
Sn (0.125, 0.125, 0.125)
Sn (0.875, 0.875, 0.875)
Se (0.022, 0.623, 0.520)
Se (0.335, 0.520, 0.623)
Se (0.377, 0.978, 0.665)
Se (0.480, 0.665, 0.978)
Se (0.520, 0.335, 0.022)
Se (0.623, 0.022, 0.335)
Se (0.665, 0.480, 0.377)
Se (0.978, 0.377, 0.480)



No. 10
This entry pairs a crystal structure of Rb3Tb3SnSe8 with its calculated powder diffractogram. Radiation: λ = 1.5418 Å (Cu Kα). Structure: a cell relaxed with PBE.
No peak broadening, texture or thermal motion is included.

Main lines, by intensity (5 to 70 degrees two-theta):
2θ/deg  I/Imax
28.6  1000
10.8  497
43.3  353
38.4  329
35.6  185
52.7  177
47.8  110
44.8  94
59.3  91
63.6  90
58.4  62
44.6  61

Structure:
a = 9.508 Å, b = 9.508 Å, c = 9.508 Å
α = 52.13°, β = 52.13°, γ = 52.13°
Fractional positions:
Rb (0.000, 0.500, 0.500)
Rb (0.500, 0.000, 0.500)
Rb (0.500, 0.500, 0.000)
Tb (0.000, 0.000, 0.500)
Tb (0.000, 0.500, 0.000)
Tb (0.500, 0.000, 0.000)
Sn (0.500, 0.500, 0.500)
Se (0.231, 0.231, 0.231)
Se (0.243, 0.724, 0.724)
Se (0.276, 0.276, 0.757)
Se (0.276, 0.757, 0.276)
Se (0.724, 0.243, 0.724)
Se (0.724, 0.724, 0.243)
Se (0.757, 0.276, 0.276)
Se (0.769, 0.769, 0.769)



No. 11
This entry pairs a crystal structure of RbTbSnSe3 with its calculated powder diffractogram. Radiation: λ = 1.5418 Å (Cu Kα). Structure: a cell relaxed with PBE.
No peak broadening, texture or thermal motion is included.

Main lines, by intensity (5 to 70 degrees two-theta):
2θ/deg  I/Imax
26.4  1000
10.2  973
40.4  640
29.9  612
33.6  424
45.7  371
43.6  253
18.0  236
53.8  234
61.8  163
27.5  152
43.2  146

Structure:
a = 8.930 Å, b = 8.930 Å, c = 11.937 Å
α = 90.00°, β = 90.00°, γ = 153.13°
Fractional positions:
Rb (0.188, 0.812, 0.750)
Rb (0.812, 0.188, 0.250)
Tb (0.500, 0.500, 0.000)
Tb (0.500, 0.500, 0.500)
Sn (0.112, 0.888, 0.250)
Sn (0.888, 0.112, 0.750)
Se (0.113, 0.887, 0.005)
Se (0.113, 0.887, 0.495)
Se (0.495, 0.505, 0.750)
Se (0.505, 0.495, 0.250)
Se (0.887, 0.113, 0.505)
Se (0.887, 0.113, 0.995)



No. 12
This entry pairs a crystal structure of RbSrTeSe2 with its calculated powder diffractogram. Radiation: λ = 1.5418 Å (Cu Kα). Structure: a cell relaxed with PBE.
No peak broadening, texture or thermal motion is included.

Main lines, by intensity (5 to 70 degrees two-theta):
2θ/deg  I/Imax
29.7  1000
27.7  950
11.1  682
28.6  522
23.7  503
33.1  502
39.5  405
38.6  393
36.5  365
41.2  356
21.2  315
45.6  306

Structure:
a = 8.027 Å, b = 5.011 Å, c = 9.197 Å
α = 90.00°, β = 97.41°, γ = 90.00°
Fractional positions:
Rb (0.000, 0.113, 0.250)
Rb (0.000, 0.887, 0.750)
Sr (0.500, 0.492, 0.750)
Sr (0.500, 0.508, 0.250)
Te (0.500, 0.000, 0.000)
Te (0.500, 0.000, 0.500)
Se (0.243, 0.385, 0.974)
Se (0.243, 0.615, 0.474)
Se (0.757, 0.385, 0.526)
Se (0.757, 0.615, 0.026)